Record 1
La2Pm7Tm2: simulated PXRD pattern (Cu Kα, 1.54184 Å), based on a GGA-PBE-relaxed structure.
Kinematic intensities with the Lorentz-polarization factor, no thermal factor.

The 6 most intense peaks (10 to 90 degrees two-theta), in order of falling intensity:
2θ (°)	intensity	index
31.73	100	2 0 3
28.20	89	0 2 1
28.99	78	4 0 0
35.85	76	2 2 2
40.89	62	4 2 -1
63.84	28	4 2 5

```
data_La2Pm7Tm2
_chemical_formula_sum 'La4 Pm14 Tm4'
_cell_length_a 12.3181
_cell_length_b 6.7078
_cell_length_c 9.5173
_cell_angle_alpha 90.00
_cell_angle_beta 90.06
_cell_angle_gamma 90.00
_symmetry_space_group_name_H-M 'C 1 2/m 1'
_symmetry_Int_Tables_number 12
_symmetry_space_group_name_Hall '-C 2y'
loop_
_atom_site_label
_atom_site_fract_x
_atom_site_fract_y
_atom_site_fract_z
La1 0.0000 0.2504 0.0000
Pm1 0.0000 0.0000 0.3215
Pm2 0.0000 0.5000 0.5000
Pm3 0.2502 0.2499 0.1859
Tm1 0.2305 0.0000 0.5001
```



Record 2
La3Pm5Tm2: simulated PXRD pattern (Cu Kα, 1.54184 Å), based on a GGA-PBE-relaxed structure.
Kinematic intensities with the Lorentz-polarization factor, no thermal factor.

The 6 most intense peaks (10 to 90 degrees two-theta), in order of falling intensity:
2θ (°)	intensity	index
29.99	100	0 2 1
34.83	34	1 -1 3
49.92	18	3 1 1
50.06	18	4 -4 2
34.65	17	2 2 -2
59.24	14	2 4 -1

```
data_La3Pm5Tm2
_chemical_formula_sum 'La6 Pm10 Tm4'
_cell_length_a 9.6358
_cell_length_b 9.6501
_cell_length_c 9.6561
_cell_angle_alpha 106.75
_cell_angle_beta 106.66
_cell_angle_gamma 115.04
_symmetry_space_group_name_H-M 'P -1'
_symmetry_Int_Tables_number 2
_symmetry_space_group_name_Hall '-P 1'
loop_
_atom_site_label
_atom_site_fract_x
_atom_site_fract_y
_atom_site_fract_z
La1 0.0254 0.0753 0.3487
La2 0.1774 0.5279 0.4488
La3 0.4234 0.2727 0.9484
Pm1 0.1237 0.3737 0.7520
Pm2 0.2242 0.6759 0.1503
Pm3 0.2739 0.8253 0.8497
Pm4 0.3713 0.1206 0.2488
Pm5 0.4779 0.4248 0.6511
Tm1 0.0740 0.2234 0.0493
Tm2 0.3293 0.9756 0.5482
```



Record 3
La6Pm3Tm: simulated PXRD pattern (Cu Kα, 1.54184 Å), based on a GGA-PBE-relaxed structure.
Kinematic intensities with the Lorentz-polarization factor, no thermal factor.

The 6 most intense peaks (10 to 90 degrees two-theta), in order of falling intensity:
2θ (°)	intensity	index
30.76	100	2 0 4
31.05	83	2 1 1
30.39	54	4 0 -2
29.57	36	0 1 3
42.92	26	4 1 -5
54.24	20	6 0 2

```
data_La6Pm3Tm
_chemical_formula_sum 'La12 Pm6 Tm2'
_cell_length_a 11.7634
_cell_length_b 3.5955
_cell_length_c 17.7219
_cell_angle_alpha 90.00
_cell_angle_beta 109.37
_cell_angle_gamma 90.00
_symmetry_space_group_name_H-M 'P 1 21/m 1'
_symmetry_Int_Tables_number 11
_symmetry_space_group_name_Hall '-P 2yb'
loop_
_atom_site_label
_atom_site_fract_x
_atom_site_fract_y
_atom_site_fract_z
La1 0.0491 0.2500 0.1084
La2 0.1497 0.2500 0.7990
La3 0.2575 0.2500 0.5059
La4 0.3471 0.7500 0.1928
La5 0.4447 0.2500 0.3937
La6 0.4452 0.7500 0.9003
Pm1 0.0518 0.7500 0.6011
Pm2 0.2453 0.2500 0.9989
Pm3 0.3468 0.2500 0.7025
Tm1 0.1529 0.7500 0.3116
```



Record 4
La11Pm4Tm9: simulated PXRD pattern (Cu Kα, 1.54184 Å), based on a GGA-PBE-relaxed structure.
Kinematic intensities with the Lorentz-polarization factor, no thermal factor.

The 6 most intense peaks (10 to 90 degrees two-theta), in order of falling intensity:
2θ (°)	intensity	index
29.49	100	4 6 0
31.71	63	0 6 1
31.86	63	4 0 1
58.05	23	4 6 2
30.47	21	3 3 1
31.57	18	1 9 0

```
data_La11Pm4Tm9
_chemical_formula_sum 'La22 Pm8 Tm18'
_cell_length_a 17.0647
_cell_length_b 25.8654
_cell_length_c 3.7319
_cell_angle_alpha 90.00
_cell_angle_beta 90.00
_cell_angle_gamma 90.00
_symmetry_space_group_name_H-M 'C m m m'
_symmetry_Int_Tables_number 65
_symmetry_space_group_name_Hall '-C 2 2'
loop_
_atom_site_label
_atom_site_fract_x
_atom_site_fract_y
_atom_site_fract_z
La1 0.0000 0.0000 0.0000
La2 0.0000 0.1592 0.0000
La3 0.0000 0.3672 0.0000
La4 0.2098 0.5000 0.0000
La5 0.2255 0.1811 0.0000
Pm1 0.1558 0.3995 0.5000
Tm1 0.0000 0.5000 0.5000
Tm2 0.1006 0.2657 0.5000
Tm3 0.1390 0.0730 0.5000
```